# Tb3AlGe2Pt9
Computed X-ray diffraction stick pattern, Cu Kα (weighted mean of Kα1 and Kα2). Input: the PBE geometry in Alexandria.

Lattice parameters (Å, degrees): 6.491 6.491 8.918 90.00 90.00 120.00
Element x y z (fractional)
Tb  0.000  0.000  0.000
Tb  0.333  0.667  0.734
Tb  0.667  0.333  0.266
Al  0.000  0.000  0.500
Ge  0.333  0.667  0.191
Ge  0.667  0.333  0.809
Pt  0.000  0.500  0.000
Pt  0.138  0.275  0.279
Pt  0.138  0.862  0.279
Pt  0.275  0.138  0.721
Pt  0.500  0.000  0.000
Pt  0.500  0.500  0.000
Pt  0.725  0.862  0.279
Pt  0.862  0.138  0.721
Pt  0.862  0.725  0.721

Peak list (10 most intense, 10 to 90 degrees two-theta, in order of rising 2θ)
| Position (°2θ) | I (rel.) |
| --- | --- |
| 19.9 | 199 |
| 30.1 | 214 |
| 33.4 | 1000 |
| 37.8 | 980 |
| 40.5 | 224 |
| 44.4 | 318 |
| 56.7 | 263 |
| 61.6 | 199 |
| 71.8 | 151 |
| 72.0 | 176 |

=====

# Tb2AlGe3Pt4
Computed X-ray diffraction stick pattern, Cu Kα (weighted mean of Kα1 and Kα2). Input: the PBE geometry in Alexandria.

Lattice parameters (Å, degrees): 4.262 4.262 10.312 90.00 90.00 90.00
Element x y z (fractional)
Tb  0.000  0.500  0.250
Tb  0.500  0.000  0.750
Al  0.000  0.000  0.500
Ge  0.000  0.500  0.866
Ge  0.500  0.000  0.134
Ge  0.500  0.500  0.500
Pt  0.000  0.000  0.000
Pt  0.000  0.500  0.631
Pt  0.500  0.000  0.369
Pt  0.500  0.500  0.000

Peak list (10 most intense, 10 to 90 degrees two-theta, in order of rising 2θ)
| Position (°2θ) | I (rel.) |
| --- | --- |
| 30.9 | 356 |
| 33.5 | 624 |
| 34.5 | 1000 |
| 42.4 | 703 |
| 46.3 | 298 |
| 49.1 | 304 |
| 55.1 | 304 |
| 61.5 | 235 |
| 66.8 | 241 |
| 72.5 | 233 |

=====

# Pu3Al7Ge2
Computed X-ray diffraction stick pattern, Cu Kα (weighted mean of Kα1 and Kα2). Input: the PBE geometry in Alexandria.

Lattice parameters (Å, degrees): 9.240 9.240 9.240 35.14 35.14 35.14
Element x y z (fractional)
Pu  0.000  0.000  0.000
Pu  0.143  0.143  0.143
Pu  0.857  0.857  0.857
Al  0.075  0.587  0.587
Al  0.413  0.413  0.925
Al  0.413  0.925  0.413
Al  0.500  0.500  0.500
Al  0.587  0.075  0.587
Al  0.587  0.587  0.075
Al  0.925  0.413  0.413
Ge  0.337  0.337  0.337
Ge  0.663  0.663  0.663

Peak list (10 most intense, 10 to 90 degrees two-theta, in order of rising 2θ)
| Position (°2θ) | I (rel.) |
| --- | --- |
| 18.7 | 690 |
| 20.5 | 400 |
| 30.4 | 624 |
| 32.1 | 947 |
| 33.2 | 350 |
| 37.4 | 291 |
| 38.4 | 1000 |
| 56.1 | 239 |
| 61.4 | 258 |
| 63.2 | 288 |

=====

# Rb3Al2Ge3
Computed X-ray diffraction stick pattern, Cu Kα (weighted mean of Kα1 and Kα2). Input: the PBE geometry in Alexandria.

Lattice parameters (Å, degrees): 7.591 7.591 16.059 90.00 90.00 147.46
Element x y z (fractional)
Rb  0.056  0.944  0.602
Rb  0.056  0.944  0.898
Rb  0.375  0.625  0.750
Rb  0.625  0.375  0.250
Rb  0.944  0.056  0.102
Rb  0.944  0.056  0.398
Al  0.246  0.754  0.108
Al  0.246  0.754  0.392
Al  0.754  0.246  0.608
Al  0.754  0.246  0.892
Ge  0.325  0.675  0.539
Ge  0.325  0.675  0.961
Ge  0.331  0.669  0.250
Ge  0.669  0.331  0.750
Ge  0.675  0.325  0.039
Ge  0.675  0.325  0.461

Peak list (10 most intense, 10 to 90 degrees two-theta, in order of rising 2θ)
| Position (°2θ) | I (rel.) |
| --- | --- |
| 27.9 | 1000 |
| 28.4 | 476 |
| 29.7 | 686 |
| 31.2 | 830 |
| 33.2 | 229 |
| 33.5 | 219 |
| 42.5 | 339 |
| 48.8 | 254 |
| 51.8 | 376 |
| 52.7 | 266 |

=====

# Rb3Al4Ge4
Computed X-ray diffraction stick pattern, Cu Kα (weighted mean of Kα1 and Kα2). Input: the PBE geometry in Alexandria.

Lattice parameters (Å, degrees): 7.239 7.239 7.239 109.47 109.47 109.47
Element x y z (fractional)
Rb  0.000  0.500  0.500
Rb  0.500  0.000  0.500
Rb  0.500  0.500  0.000
Al  0.000  0.000  0.290
Al  0.000  0.290  0.000
Al  0.290  0.000  0.000
Al  0.710  0.710  0.710
Ge  0.000  0.000  0.662
Ge  0.000  0.662  0.000
Ge  0.338  0.338  0.338
Ge  0.662  0.000  0.000

Peak list (10 most intense, 10 to 90 degrees two-theta, in order of rising 2θ)
| Position (°2θ) | I (rel.) |
| --- | --- |
| 26.1 | 793 |
| 30.2 | 955 |
| 33.9 | 1000 |
| 46.1 | 482 |
| 48.7 | 508 |
| 51.3 | 248 |
| 53.7 | 205 |
| 65.1 | 250 |
| 67.2 | 268 |
| 87.3 | 190 |

=====

# Rb2AlGeTe4
Computed X-ray diffraction stick pattern, Cu Kα (weighted mean of Kα1 and Kα2). Input: the PBE geometry in Alexandria.

Lattice parameters (Å, degrees): 14.995 13.340 8.347 84.13 62.25 33.62
Element x y z (fractional)
Rb  0.059  0.059  0.691
Rb  0.309  0.309  0.941
Rb  0.691  0.691  0.059
Rb  0.941  0.941  0.309
Al  0.125  0.125  0.125
Al  0.875  0.875  0.875
Ge  0.375  0.375  0.375
Ge  0.625  0.625  0.625
Te  0.043  0.321  0.404
Te  0.268  0.596  0.679
Te  0.321  0.043  0.732
Te  0.404  0.732  0.043
Te  0.596  0.268  0.957
Te  0.679  0.957  0.268
Te  0.732  0.404  0.321
Te  0.957  0.679  0.596

Peak list (10 most intense, 10 to 90 degrees two-theta, in order of rising 2θ)
| Position (°2θ) | I (rel.) |
| --- | --- |
| 24.2 | 1000 |
| 27.3 | 267 |
| 27.6 | 263 |
| 27.9 | 556 |
| 32.8 | 143 |
| 33.8 | 274 |
| 44.2 | 219 |
| 44.6 | 332 |
| 45.3 | 167 |
| 47.6 | 147 |

=====

# RbAlZnGe2
Computed X-ray diffraction stick pattern, Cu Kα (weighted mean of Kα1 and Kα2). Input: the PBE geometry in Alexandria.

Lattice parameters (Å, degrees): 4.574 4.574 10.865 90.00 90.00 90.00
Element x y z (fractional)
Rb  0.000  0.000  0.000
Rb  0.500  0.500  0.500
Al  0.000  0.500  0.250
Al  0.500  0.000  0.750
Zn  0.000  0.500  0.750
Zn  0.500  0.000  0.250
Ge  0.000  0.000  0.377
Ge  0.000  0.000  0.623
Ge  0.500  0.500  0.123
Ge  0.500  0.500  0.877

Peak list (10 most intense, 10 to 90 degrees two-theta, in order of rising 2θ)
| Position (°2θ) | I (rel.) |
| --- | --- |
| 27.6 | 358 |
| 31.5 | 1000 |
| 32.2 | 887 |
| 39.4 | 803 |
| 43.5 | 285 |
| 46.3 | 371 |
| 51.3 | 494 |
| 56.9 | 266 |
| 62.3 | 298 |
| 67.0 | 202 |

=====

# Tb2Al2GeRh5
Computed X-ray diffraction stick pattern, Cu Kα (weighted mean of Kα1 and Kα2). Input: the PBE geometry in Alexandria.

Lattice parameters (Å, degrees): 9.858 9.858 3.449 90.00 90.00 90.00
Element x y z (fractional)
Tb  0.174  0.326  0.000
Tb  0.326  0.826  0.000
Tb  0.674  0.174  0.000
Tb  0.826  0.674  0.000
Al  0.124  0.624  0.000
Al  0.376  0.124  0.000
Al  0.624  0.876  0.000
Al  0.876  0.376  0.000
Ge  0.000  0.000  0.000
Ge  0.500  0.500  0.000
Rh  0.000  0.500  0.500
Rh  0.066  0.798  0.500
Rh  0.202  0.066  0.500
Rh  0.298  0.566  0.500
Rh  0.434  0.298  0.500
Rh  0.500  0.000  0.500
Rh  0.566  0.702  0.500
Rh  0.702  0.434  0.500
Rh  0.798  0.934  0.500
Rh  0.934  0.202  0.500

Peak list (10 most intense, 10 to 90 degrees two-theta, in order of rising 2θ)
| Position (°2θ) | I (rel.) |
| --- | --- |
| 33.0 | 572 |
| 36.7 | 245 |
| 37.6 | 707 |
| 38.8 | 241 |
| 38.9 | 1000 |
| 40.9 | 175 |
| 42.2 | 279 |
| 53.1 | 205 |
| 66.5 | 142 |
| 66.9 | 257 |

=====

# Th2AlGe3Rh4
Computed X-ray diffraction stick pattern, Cu Kα (weighted mean of Kα1 and Kα2). Input: the PBE geometry in Alexandria.

Lattice parameters (Å, degrees): 4.218 4.218 10.384 90.00 90.00 90.00
Element x y z (fractional)
Th  0.000  0.500  0.247
Th  0.500  0.000  0.753
Al  0.500  0.500  0.000
Ge  0.000  0.000  0.000
Ge  0.000  0.500  0.630
Ge  0.500  0.000  0.370
Rh  0.000  0.000  0.500
Rh  0.000  0.500  0.866
Rh  0.500  0.000  0.134
Rh  0.500  0.500  0.500

Peak list (10 most intense, 10 to 90 degrees two-theta, in order of rising 2θ)
| Position (°2θ) | I (rel.) |
| --- | --- |
| 22.8 | 145 |
| 30.0 | 283 |
| 33.5 | 772 |
| 34.7 | 1000 |
| 42.9 | 556 |
| 48.9 | 345 |
| 55.5 | 372 |
| 62.3 | 183 |
| 67.0 | 269 |
| 73.3 | 261 |

=====

# AlGeRu2
Computed X-ray diffraction stick pattern, Cu Kα (weighted mean of Kα1 and Kα2). Input: the PBE geometry in Alexandria.

Lattice parameters (Å, degrees): 4.247 3.028 8.554 90.00 90.00 90.00
Element x y z (fractional)
Al  0.250  0.000  0.120
Al  0.750  0.000  0.880
Ge  0.250  0.000  0.633
Ge  0.750  0.000  0.367
Ru  0.250  0.500  0.380
Ru  0.250  0.500  0.872
Ru  0.750  0.500  0.128
Ru  0.750  0.500  0.620

Peak list (10 most intense, 10 to 90 degrees two-theta, in order of rising 2θ)
| Position (°2θ) | I (rel.) |
| --- | --- |
| 10.3 | 70 |
| 29.6 | 123 |
| 42.3 | 1000 |
| 42.6 | 198 |
| 61.2 | 66 |
| 61.5 | 127 |
| 77.2 | 65 |
| 77.3 | 126 |
| 77.4 | 66 |
| 77.7 | 129 |

=====

# Y2AlGe2Ru5
Computed X-ray diffraction stick pattern, Cu Kα (weighted mean of Kα1 and Kα2). Input: the PBE geometry in Alexandria.

Lattice parameters (Å, degrees): 10.034 10.034 3.317 90.00 90.00 90.00
Element x y z (fractional)
Y  0.172  0.328  0.000
Y  0.328  0.828  0.000
Y  0.672  0.172  0.000
Y  0.828  0.672  0.000
Al  0.000  0.000  0.000
Al  0.500  0.500  0.000
Ge  0.130  0.630  0.000
Ge  0.370  0.130  0.000
Ge  0.630  0.870  0.000
Ge  0.870  0.370  0.000
Ru  0.000  0.500  0.500
Ru  0.063  0.799  0.500
Ru  0.201  0.063  0.500
Ru  0.299  0.563  0.500
Ru  0.437  0.299  0.500
Ru  0.500  0.000  0.500
Ru  0.563  0.701  0.500
Ru  0.701  0.437  0.500
Ru  0.799  0.937  0.500
Ru  0.937  0.201  0.500

Peak list (10 most intense, 10 to 90 degrees two-theta, in order of rising 2θ)
| Position (°2θ) | I (rel.) |
| --- | --- |
| 36.9 | 546 |
| 37.1 | 152 |
| 38.0 | 333 |
| 39.3 | 1000 |
| 42.4 | 431 |
| 45.3 | 236 |
| 55.4 | 191 |
| 65.2 | 140 |
| 65.8 | 135 |
| 68.5 | 171 |

=====

# Al4GeS7
Computed X-ray diffraction stick pattern, Cu Kα (weighted mean of Kα1 and Kα2). Input: the PBE geometry in Alexandria.

Lattice parameters (Å, degrees): 15.232 6.335 6.120 90.00 90.00 90.00
Element x y z (fractional)
Al  0.122  0.177  0.000
Al  0.250  0.329  0.468
Al  0.250  0.671  0.968
Al  0.378  0.823  0.500
Al  0.622  0.823  0.500
Al  0.750  0.329  0.468
Al  0.750  0.671  0.968
Al  0.878  0.177  0.000
Ge  0.000  0.676  0.674
Ge  0.500  0.324  0.174
S  0.000  0.317  0.842
S  0.117  0.824  0.912
S  0.126  0.189  0.361
S  0.245  0.329  0.850
S  0.255  0.671  0.350
S  0.374  0.811  0.861
S  0.383  0.176  0.412
S  0.500  0.683  0.342
S  0.617  0.176  0.412
S  0.626  0.811  0.861
S  0.745  0.671  0.350
S  0.755  0.329  0.850
S  0.874  0.189  0.361
S  0.883  0.824  0.912

Peak list (10 most intense, 10 to 90 degrees two-theta, in order of rising 2θ)
| Position (°2θ) | I (rel.) |
| --- | --- |
| 15.6 | 1000 |
| 22.8 | 651 |
| 23.3 | 763 |
| 27.3 | 945 |
| 28.2 | 844 |
| 29.2 | 411 |
| 31.1 | 493 |
| 47.8 | 518 |
| 49.3 | 790 |
| 52.9 | 763 |